(1)
The following is a computed powder diffractogram of Nd2Cl2O. It was derived from a GGA-PBE-relaxed structure, using copper Kα.

Structure:
a = 4.2581 Å, b = 4.2581 Å, c = 13.1909 Å
α = 90.00°, β = 90.00°, γ = 90.00°
Atoms (fractional coordinates):
Nd1 0.0000 0.0000 0.1636
Nd2 0.0000 0.0000 0.8364
Cl1 0.0000 0.0000 0.3580
Cl2 0.0000 0.0000 0.6420
O1 0.0000 0.0000 0.0000

Peak list (10 most intense, 2θ from 10° to 80°, sorted by position)
13.42 deg, I = 16
20.86 deg, I = 100
21.93 deg, I = 17
24.89 deg, I = 15
29.20 deg, I = 25
29.67 deg, I = 41
34.40 deg, I = 17
42.46 deg, I = 15
46.49 deg, I = 19
47.76 deg, I = 21

(2)
The following is a computed powder diffractogram of Nd14Cl32O. It was derived from a GGA-PBE-relaxed structure, using copper Kα.

Structure:
a = 12.3729 Å, b = 12.3729 Å, c = 12.3729 Å
α = 57.29°, β = 57.29°, γ = 57.29°
Atoms (fractional coordinates):
Nd1 0.0458 0.8345 0.3117
Nd2 0.1655 0.6883 0.9542
Nd3 0.2358 0.2358 0.2358
Nd4 0.2677 0.4841 0.6185
Nd5 0.3117 0.0458 0.8345
Nd6 0.3815 0.7323 0.5159
Nd7 0.4841 0.6185 0.2677
Nd8 0.5159 0.3815 0.7323
Nd9 0.6185 0.2677 0.4841
Nd10 0.6883 0.9542 0.1655
Nd11 0.7323 0.5159 0.3815
Nd12 0.7642 0.7642 0.7642
Nd13 0.8345 0.3117 0.0458
Nd14 0.9542 0.1655 0.6883
Cl1 0.0337 0.2635 0.7897
Cl2 0.0534 0.4846 0.1070
Cl3 0.0789 0.3511 0.4370
Cl4 0.0889 0.0889 0.0889
Cl5 0.1070 0.0534 0.4846
Cl6 0.1249 0.7135 0.7183
Cl7 0.2103 0.9663 0.7365
Cl8 0.2427 0.5721 0.3651
Cl9 0.2635 0.7897 0.0337
Cl10 0.2817 0.8751 0.2865
Cl11 0.2865 0.2817 0.8751
Cl12 0.3511 0.4370 0.0789
Cl13 0.3651 0.2427 0.5721
Cl14 0.4279 0.6349 0.7573
Cl15 0.4370 0.0789 0.3511
Cl16 0.4846 0.1070 0.0534
Cl17 0.5154 0.8930 0.9466
Cl18 0.5630 0.9212 0.6489
Cl19 0.5721 0.3651 0.2427
Cl20 0.6349 0.7573 0.4279
Cl21 0.6489 0.5630 0.9211
Cl22 0.7135 0.7183 0.1249
Cl23 0.7183 0.1249 0.7135
Cl24 0.7365 0.2103 0.9663
Cl25 0.7573 0.4279 0.6349
Cl26 0.7897 0.0337 0.2635
Cl27 0.8751 0.2865 0.2817
Cl28 0.8930 0.9466 0.5154
Cl29 0.9111 0.9111 0.9111
Cl30 0.9211 0.6489 0.5630
Cl31 0.9466 0.5154 0.8930
Cl32 0.9663 0.7365 0.2103
O1 0.5000 0.5000 0.5000

Peak list (10 most intense, 2θ from 10° to 80°, sorted by position)
10.34 deg, I = 38
14.34 deg, I = 41
17.23 deg, I = 60
22.86 deg, I = 51
23.62 deg, I = 100
25.67 deg, I = 47
31.37 deg, I = 44
32.69 deg, I = 31
34.89 deg, I = 47
40.22 deg, I = 55

(3)
The following is a computed powder diffractogram of NdClO. It was derived from a GGA-PBE-relaxed structure, using copper Kα.

Structure:
a = 4.0730 Å, b = 4.0730 Å, c = 6.8435 Å
α = 90.00°, β = 90.00°, γ = 90.00°
Atoms (fractional coordinates):
Nd1 0.2500 0.2500 0.1726
Nd2 0.7500 0.7500 0.8274
Cl1 0.2500 0.2500 0.6279
Cl2 0.7500 0.7500 0.3721
O1 0.2500 0.7500 0.0000
O2 0.7500 0.2500 0.0000

Peak list (10 most intense, 2θ from 10° to 80°, sorted by position)
12.94 deg, I = 37
25.45 deg, I = 91
31.05 deg, I = 72
34.23 deg, I = 100
40.96 deg, I = 25
44.49 deg, I = 38
51.08 deg, I = 24
51.95 deg, I = 28
57.30 deg, I = 43
58.52 deg, I = 17

(4)
The following is a computed powder diffractogram of Nd4PClO8. It was derived from a GGA-PBE-relaxed structure, using copper Kα.

Structure:
a = 13.1044 Å, b = 5.8702 Å, c = 5.8424 Å
α = 90.00°, β = 90.00°, γ = 90.00°
Atoms (fractional coordinates):
Nd1 0.1624 0.0168 0.0000
Nd2 0.1680 0.4873 0.4706
Nd3 0.3320 0.5127 0.9706
Nd4 0.3376 0.9832 0.5000
Nd5 0.6624 0.9832 0.5000
Nd6 0.6680 0.5127 0.9706
Nd7 0.8320 0.4873 0.4706
Nd8 0.8376 0.0168 0.0000
P1 0.0000 0.5426 0.9433
P2 0.5000 0.4574 0.4433
Cl1 0.0000 0.0526 0.4328
Cl2 0.5000 0.9474 0.9328
O1 0.0000 0.5022 0.6788
O2 0.0000 0.8056 0.9831
O3 0.0955 0.4332 0.0542
O4 0.2316 0.7571 0.7381
O5 0.2499 0.2427 0.7324
O6 0.2501 0.7573 0.2324
O7 0.2684 0.2429 0.2381
O8 0.4045 0.5668 0.5542
O9 0.5000 0.1944 0.4831
O10 0.5000 0.4978 0.1788
O11 0.5955 0.5668 0.5542
O12 0.7316 0.2429 0.2381
O13 0.7501 0.2427 0.7324
O14 0.7499 0.7573 0.2324
O15 0.7684 0.7571 0.7381
O16 0.9045 0.4332 0.0542

Peak list (10 most intense, 2θ from 10° to 80°, sorted by position)
13.51 deg, I = 22
22.52 deg, I = 24
29.73 deg, I = 100
30.46 deg, I = 21
30.60 deg, I = 21
41.32 deg, I = 15
43.72 deg, I = 20
52.25 deg, I = 26
53.68 deg, I = 22
53.86 deg, I = 18

Which formula does entry 2 have? Nd14Cl32O